Record 1
This entry pairs a crystal structure of HoSnPO5 with its computed X-ray powder pattern. Radiation: λ = 1.5418 Å (Cu Kα). Structure: a structure optimized by DFT (GGA-PBE).
Neutral-atom scattering factors, no anomalous dispersion.

Atomic structure:
Unit cell a=5.4920 b=6.7263 c=7.0268 alpha=109.90 beta=110.79 gamma=94.95
Atoms (fractional coordinates):
Ho  0.1751  0.1257  0.2940
Ho  0.8249  0.8743  0.7060
Sn  0.4303  0.7297  0.9655
Sn  0.5697  0.2703  0.0345
P  0.1719  0.6702  0.3832
P  0.8281  0.3298  0.6168
O  0.0721  0.2491  0.5867
O  0.0885  0.4276  0.2266
O  0.2341  0.9988  0.9663
O  0.2998  0.8147  0.2951
O  0.3952  0.7032  0.6113
O  0.6048  0.2968  0.3887
O  0.7002  0.1853  0.7049
O  0.7659  0.0012  0.0337
O  0.9115  0.5724  0.7734
O  0.9279  0.7509  0.4133

Main lines, sorted by position (10° ≤ 2θ ≤ 90°):
2theta, I (rel.)
14.41, 39.2
15.98, 37.0
21.91, 47.0
27.49, 100.0
27.60, 93.0
30.35, 67.9
32.28, 34.8
32.76, 94.9
42.17, 34.3
49.26, 28.8

---

Record 2
This entry pairs a crystal structure of SrHoPO with its computed X-ray powder pattern. Radiation: λ = 1.5418 Å (Cu Kα). Structure: a structure optimized by DFT (GGA-PBE).
Neutral-atom scattering factors, no anomalous dispersion.

Atomic structure:
Unit cell a=3.8222 b=3.8222 c=5.6761 alpha=90.00 beta=90.00 gamma=90.00
Atoms (fractional coordinates):
Sr  0.0000  0.0000  0.0000
Ho  0.5000  0.5000  0.5000
P  0.0000  0.0000  0.5000
O  0.5000  0.5000  0.0000

Main lines, sorted by position (10° ≤ 2θ ≤ 90°):
2theta, I (rel.)
15.61, 19.5
28.15, 100.0
31.52, 41.1
33.15, 71.8
46.39, 54.8
47.58, 25.4
54.08, 17.2
56.20, 30.8
58.20, 27.5
87.78, 17.7

---

Record 3
This entry pairs a crystal structure of HoTePO with its computed X-ray powder pattern. Radiation: λ = 1.5418 Å (Cu Kα). Structure: a structure optimized by DFT (GGA-PBE).
Neutral-atom scattering factors, no anomalous dispersion.

Atomic structure:
Unit cell a=3.6693 b=6.9929 c=7.6633 alpha=90.00 beta=90.00 gamma=90.00
Atoms (fractional coordinates):
Ho  0.0000  0.2173  0.0000
Ho  0.0000  0.7827  0.5000
Te  0.5000  0.3603  0.5472
Te  0.5000  0.6397  0.0472
P  0.0000  0.4340  0.3170
P  0.0000  0.5660  0.8170
O  0.5000  0.0989  0.9370
O  0.5000  0.9011  0.4370

Main lines, sorted by position (10° ≤ 2θ ≤ 90°):
2theta, I (rel.)
17.17, 18.2
23.21, 54.7
28.05, 43.7
29.87, 100.0
34.73, 19.1
36.25, 17.9
37.46, 15.2
42.82, 14.2
45.15, 32.4
63.81, 13.9

---

Record 4
This entry pairs a crystal structure of HoTmPO with its computed X-ray powder pattern. Radiation: λ = 1.5418 Å (Cu Kα). Structure: a structure optimized by DFT (GGA-PBE).
Neutral-atom scattering factors, no anomalous dispersion.

Atomic structure:
Unit cell a=4.1123 b=7.3879 c=5.6464 alpha=90.00 beta=90.00 gamma=90.00
Atoms (fractional coordinates):
Ho  0.0000  0.2041  0.0000
Ho  0.0000  0.7959  0.5000
Tm  0.5000  0.3792  0.5602
Tm  0.5000  0.6208  0.0602
P  0.0000  0.1627  0.4945
P  0.0000  0.8373  0.9945
O  0.5000  0.3311  0.9453
O  0.5000  0.6689  0.4453

Main lines, sorted by position (10° ≤ 2θ ≤ 90°):
2theta, I (rel.)
24.78, 56.2
28.88, 46.3
29.47, 100.0
31.69, 47.6
39.94, 23.1
40.64, 24.9
42.80, 27.3
44.04, 23.0
54.23, 22.3
55.27, 19.5

---

Record 5
This entry pairs a crystal structure of HoTmPO with its computed X-ray powder pattern. Radiation: λ = 1.5418 Å (Cu Kα). Structure: a structure optimized by DFT (GGA-PBE).
Neutral-atom scattering factors, no anomalous dispersion.

Atomic structure:
Unit cell a=4.2678 b=4.2678 c=8.4362 alpha=90.00 beta=90.00 gamma=90.00
Atoms (fractional coordinates):
Ho  0.2500  0.2500  0.1042
Ho  0.7500  0.7500  0.8958
Tm  0.2500  0.7500  0.5000
Tm  0.7500  0.2500  0.5000
P  0.2500  0.2500  0.6949
P  0.7500  0.7500  0.3051
O  0.2500  0.7500  0.0000
O  0.7500  0.2500  0.0000

Main lines, sorted by position (10° ≤ 2θ ≤ 90°):
2theta, I (rel.)
21.06, 38.5
29.78, 50.2
31.48, 100.0
36.61, 25.4
38.33, 22.3
42.36, 43.6
47.77, 17.9
52.63, 20.3
52.97, 32.6
70.69, 20.7

---

Record 6
This entry pairs a crystal structure of HoZrPO with its computed X-ray powder pattern. Radiation: λ = 1.5418 Å (Cu Kα). Structure: a structure optimized by DFT (GGA-PBE).
Neutral-atom scattering factors, no anomalous dispersion.

Atomic structure:
Unit cell a=4.1316 b=4.1316 c=8.4815 alpha=90.00 beta=90.00 gamma=90.00
Atoms (fractional coordinates):
Ho  0.2500  0.2500  0.1145
Ho  0.7500  0.7500  0.8855
Zr  0.2500  0.7500  0.5000
Zr  0.7500  0.2500  0.5000
P  0.2500  0.2500  0.6897
P  0.7500  0.7500  0.3103
O  0.2500  0.7500  0.0000
O  0.7500  0.2500  0.0000

Main lines, sorted by position (10° ≤ 2θ ≤ 90°):
2theta, I (rel.)
20.95, 22.8
23.96, 31.6
30.20, 100.0
32.41, 87.3
37.38, 20.5
38.59, 34.1
43.82, 48.9
53.39, 41.6
54.13, 47.7
72.06, 24.0

---

Record 7
This entry pairs a crystal structure of HoPa2O4 with its computed X-ray powder pattern. Radiation: λ = 1.5418 Å (Cu Kα). Structure: a structure optimized by DFT (GGA-PBE).
Neutral-atom scattering factors, no anomalous dispersion.

Atomic structure:
Unit cell a=6.9500 b=6.9500 c=6.9500 alpha=60.00 beta=60.00 gamma=60.00
Atoms (fractional coordinates):
Ho  0.1250  0.1250  0.1250
Ho  0.8750  0.8750  0.8750
Pa  0.0000  0.5000  0.5000
Pa  0.5000  0.0000  0.5000
Pa  0.5000  0.5000  0.0000
Pa  0.5000  0.5000  0.5000
O  0.2500  0.2500  0.2500
O  0.2500  0.2500  0.7501
O  0.2500  0.7501  0.2500
O  0.2499  0.7500  0.7500
O  0.7501  0.2500  0.2500
O  0.7500  0.2499  0.7500
O  0.7500  0.7500  0.2499
O  0.7500  0.7500  0.7500

Main lines, sorted by position (10° ≤ 2θ ≤ 90°):
2theta, I (rel.)
15.62, 16.0
25.63, 17.3
30.16, 100.0
31.53, 37.3
36.57, 16.4
48.10, 37.6
52.68, 41.9
61.91, 13.4
62.70, 18.1
74.09, 24.0

---

Record 8
This entry pairs a crystal structure of Ho2Pa2O5 with its computed X-ray powder pattern. Radiation: λ = 1.5418 Å (Cu Kα). Structure: a structure optimized by DFT (GGA-PBE).
Neutral-atom scattering factors, no anomalous dispersion.

Atomic structure:
Unit cell a=4.2161 b=4.2161 c=9.0105 alpha=90.00 beta=90.00 gamma=90.00
Atoms (fractional coordinates):
Ho  0.0000  0.0000  0.0000
Ho  0.0000  0.0000  0.5000
Pa  0.5000  0.5000  0.2474
Pa  0.5000  0.5000  0.7526
O  0.0000  0.5000  0.1700
O  0.0000  0.5000  0.8300
O  0.5000  0.0000  0.1700
O  0.5000  0.0000  0.8300
O  0.5000  0.5000  0.0000

Main lines, sorted by position (10° ≤ 2θ ≤ 90°):
2theta, I (rel.)
29.01, 100.0
29.97, 41.9
40.03, 10.8
42.90, 22.3
50.80, 25.0
52.62, 39.6
60.11, 13.5
66.04, 10.5
82.03, 11.3
84.43, 11.8